Record 1
Simulated powder diffraction line list
Compound: Ba3CdCu2O6
Radiation: Cu Kα X-rays
Structure: a PBE-relaxed structure

Structure:
```
12
Lattice="6.1557 0.0000 0.0000 -3.0778 5.3310 0.0000 0.0000 0.0000 6.9477" Properties=species:S:1:pos:R:3 pbc="T T T"
Ba 0.0000 0.0000 0.0000
Ba 0.0000 3.5540 4.5261
Ba 3.0778 1.7770 2.4217
Cd 0.0000 0.0000 3.4739
Cu 0.0000 3.5540 1.4944
Cu 3.0778 1.7770 5.4534
O 0.0000 1.7804 2.0325
O -1.5359 4.4407 2.0325
O 1.5419 0.8902 4.9152
O 1.5359 4.4407 2.0325
O 4.6138 0.8902 4.9152
O 3.0778 3.5505 4.9152
```

Principal peaks in the range 2θ from 10° to 90°, sorted by position:
d_spacing  Rel. int.
3.078  100
2.910  81
2.115  45
1.777  20
1.743  35
1.651  12
1.539  17
1.360  15

Record 2
Simulated powder diffraction line list
Compound: BaCdCuPd
Radiation: Cu Kα X-rays
Structure: a PBE-relaxed structure

Structure:
```
4
Lattice="4.0538 -2.3420 0.0000 4.0538 2.3420 0.0000 -2.7073 0.0000 5.5029" Properties=species:S:1:pos:R:3 pbc="T T T"
Ba 0.0000 0.0000 0.0000
Cd 2.6969 0.0000 2.7562
Cu 5.3994 0.0000 2.3707
Pd -0.0068 0.0000 3.1925
```

Principal peaks in the range 2θ from 10° to 90°, sorted by position:
d_spacing  Rel. int.
5.503  34
3.640  25
2.893  73
2.751  36
2.560  26
2.341  100
1.783  59
1.529  23

Record 3
Simulated powder diffraction line list
Compound: BaCd2F7
Radiation: Cu Kα X-rays
Structure: a PBE-relaxed structure

Structure:
```
10
Lattice="-1.9729 1.9729 9.2896 1.9729 -1.9729 9.2896 1.9729 1.9729 -9.2896" Properties=species:S:1:pos:R:3 pbc="T T T"
Ba 0.0000 0.0000 0.0000
Cd 0.0000 0.0000 6.0387
Cd 0.0000 0.0000 12.5405
F 1.9729 0.0000 1.9878
F 1.9729 0.0000 4.6448
F 1.9729 0.0000 7.3018
F 0.0000 0.0000 9.2896
F 0.0000 1.9729 1.9878
F 0.0000 1.9729 4.6448
F 0.0000 1.9729 7.3018
```

Principal peaks in the range 2θ from 10° to 90°, sorted by position:
d_spacing  Rel. int.
3.328  100
3.097  14
2.790  19
2.073  47
1.973  24
1.829  16
1.697  28
1.157  13

Record 4
Simulated powder diffraction line list
Compound: Ba2CdO2F2
Radiation: Cu Kα X-rays
Structure: a PBE-relaxed structure

Structure:
```
7
Lattice="-2.2024 2.2024 6.9881 2.2024 -2.2024 6.9881 2.2024 2.2024 -6.9881" Properties=species:S:1:pos:R:3 pbc="T T T"
Ba 0.0000 0.0000 1.7572
Ba 0.0000 0.0000 12.2189
Cd 0.0000 0.0000 6.9881
O 2.2024 0.0000 0.0000
O 0.0000 2.2024 0.0000
F 0.0000 0.0000 4.3867
F 0.0000 0.0000 9.5894
```

Principal peaks in the range 2θ from 10° to 90°, sorted by position:
d_spacing  Rel. int.
6.988  33
3.201  100
3.115  98
2.360  68
2.326  24
2.202  50
1.814  40
1.610  39

Record 5
Simulated powder diffraction line list
Compound: RbBa2CdF8
Radiation: Cu Kα X-rays
Structure: a PBE-relaxed structure

Structure:
```
12
Lattice="4.4748 0.0000 0.0000 0.0000 8.7863 0.0000 -0.5805 0.0000 5.9601" Properties=species:S:1:pos:R:3 pbc="T T T"
Rb 0.0000 0.0000 0.0000
Ba 1.9471 2.3055 2.9801
Ba 1.9471 6.4808 2.9801
Cd 0.0000 4.3931 0.0000
F -0.2685 2.6200 4.5213
F -0.2685 6.1663 4.5213
F 1.8065 4.3931 1.3148
F 1.6802 0.0000 4.2798
F 2.2141 0.0000 1.6803
F 2.0877 4.3931 4.6453
F 4.1628 2.6200 1.4388
F 4.1628 6.1663 1.4388
```

Principal peaks in the range 2θ from 10° to 90°, sorted by position:
d_spacing  Rel. int.
3.746  58
3.536  100
3.413  51
3.128  35
2.235  49
2.227  25
2.197  20
2.088  37

Record 6
Simulated powder diffraction line list
Compound: BaCdSF2
Radiation: Cu Kα X-rays
Structure: a PBE-relaxed structure

Structure:
```
10
Lattice="-3.2642 3.2642 4.8989 3.2642 -3.2642 4.8989 3.2642 3.2642 -4.8989" Properties=species:S:1:pos:R:3 pbc="T T T"
Ba 3.2642 0.0000 2.4495
Ba 0.0000 3.2642 2.4495
Cd 0.0000 0.0000 0.0000
Cd 0.0000 0.0000 4.8989
S 0.0000 0.0000 2.4495
S 0.0000 0.0000 7.3484
F 4.2958 1.0316 0.0000
F 1.0316 2.2326 0.0000
F 2.2326 1.0316 4.8989
F -1.0316 2.2326 4.8989
```

Principal peaks in the range 2θ from 10° to 90°, sorted by position:
d_spacing  Rel. int.
3.360  100
3.264  81
2.449  27
2.308  36
1.959  37
1.902  54
1.680  26
1.254  20